Record 1
Li3CrPCO7: calculated powder diffraction line list (copper Kα), based on a cell relaxed with PBE+U.
Kinematic intensities with the Lorentz-polarization factor, no thermal factor.

Top 10 peaks for 2θ from 10° to 80°, by angle:
(0 1 0), d 8.646, 2θ 10.23, rel. 100; (0 1 -2), d 4.495, 2θ 19.75, rel. 25; (0 1 2), d 4.181, 2θ 21.25, rel. 26; (1 1 2), d 3.508, 2θ 25.39, rel. 36; (0 2 -2), d 3.413, 2θ 26.11, rel. 25; (2 0 0), d 3.230, 2θ 27.62, rel. 80; (0 3 -2), d 2.591, 2θ 34.63, rel. 29; (0 0 4), d 2.500, 2θ 35.93, rel. 21; (0 1 -4), d 2.456, 2θ 36.59, rel. 30; (-1 3 2), d 2.260, 2θ 39.89, rel. 21

Atomic structure:
```
data_Li3CrPCO7
_space_group_name_H-M_alt 'P 1'
_space_group_IT_number 1
_space_group_name_Hall 'P 1'
_cell_length_a 6.4601
_cell_length_b 8.6761
_cell_length_c 10.0330
_cell_angle_alpha 94.75
_cell_angle_beta 90.08
_cell_angle_gamma 90.08
loop_
_atom_site_label
_atom_site_type_symbol
_atom_site_fract_x
_atom_site_fract_y
_atom_site_fract_z
Li1 Li 0.0000 0.0000 0.0000
Li2 Li 0.0003 0.0039 0.5240
Li3 Li 0.0452 0.4415 0.7643
Li4 Li 0.0461 0.4543 0.2691
Li5 Li 0.2555 0.6264 0.0222
Li6 Li 0.2594 0.6271 0.5254
Li7 Li 0.2630 0.0720 0.7463
Li8 Li 0.4853 0.4536 0.2689
Li9 Li 0.5290 0.0013 0.5250
Li10 Li 0.5322 0.0026 0.0017
Li11 Li 0.7660 0.8440 0.7483
Li12 Li 0.7668 0.8331 0.2573
Cr1 Cr 0.2656 0.0584 0.2449
Cr2 Cr 0.5192 0.4658 0.7715
Cr3 Cr 0.7664 0.3889 0.0423
Cr4 Cr 0.7706 0.3876 0.5233
P1 P 0.2647 0.3126 0.0015
P2 P 0.2658 0.3109 0.4987
P3 P 0.7625 0.1366 0.7800
P4 P 0.7662 0.1363 0.2806
C1 C 0.2662 0.7578 0.2890
C2 C 0.2665 0.7650 0.7890
C3 C 0.7589 0.6951 0.9901
C4 C 0.7640 0.6959 0.4946
O1 O 0.0793 0.4143 0.0576
O2 O 0.0813 0.4129 0.5566
O3 O 0.2540 0.8708 0.8852
O4 O 0.2639 0.1483 0.0494
O5 O 0.2645 0.3024 0.8464
O6 O 0.2661 0.6181 0.3287
O7 O 0.2657 0.8767 0.3782
O8 O 0.2666 0.1475 0.5439
O9 O 0.2666 0.3089 0.3440
O10 O 0.2668 0.7810 0.1644
O11 O 0.2667 0.7906 0.6656
O12 O 0.2782 0.6162 0.8217
O13 O 0.4525 0.4121 0.0577
O14 O 0.4557 0.4119 0.5552
O15 O 0.5721 0.0425 0.7282
O16 O 0.5791 0.0390 0.2231
O17 O 0.7541 0.5700 0.9028
O18 O 0.7586 0.8305 0.9463
O19 O 0.7596 0.6681 0.6193
O20 O 0.7606 0.3077 0.7337
O21 O 0.7652 0.1508 0.9360
O22 O 0.7648 0.8358 0.4583
O23 O 0.7664 0.3047 0.2379
O24 O 0.7672 0.1449 0.4360
O25 O 0.7685 0.5786 0.4031
O26 O 0.7678 0.6719 0.1142
O27 O 0.9522 0.0386 0.2227
O28 O 0.9541 0.0470 0.7251
```


Record 2
Li3CrPCO7: calculated powder diffraction line list (copper Kα), based on a cell relaxed with PBE+U.
Kinematic intensities with the Lorentz-polarization factor, no thermal factor.

Top 10 peaks for 2θ from 10° to 80°, by angle:
(0 1 1), d 5.160, 2θ 17.18, rel. 22; (1 0 0), d 5.113, 2θ 17.34, rel. 75; (0 0 2), d 4.275, 2θ 20.78, rel. 33; (0 1 2), d 3.567, 2θ 24.96, rel. 24; (1 0 -2), d 3.336, 2θ 26.73, rel. 26; (0 2 0), d 3.235, 2θ 27.58, rel. 100; (1 2 1), d 2.591, 2θ 34.62, rel. 18; (2 0 0), d 2.556, 2θ 35.10, rel. 25; (1 1 3), d 2.295, 2θ 39.26, rel. 17; (0 4 0), d 1.619, 2θ 56.87, rel. 19

Atomic structure:
```
data_Li3CrPCO7
_space_group_name_H-M_alt 'P 1 21 1'
_space_group_IT_number 4
_space_group_name_Hall 'P 2yb'
_cell_length_a 5.1158
_cell_length_b 6.4723
_cell_length_c 8.5545
_cell_angle_alpha 90.00
_cell_angle_beta 91.94
_cell_angle_gamma 90.00
loop_
_atom_site_label
_atom_site_type_symbol
_atom_site_fract_x
_atom_site_fract_y
_atom_site_fract_z
Li1 Li 0.0309 0.0000 0.4975
Li2 Li 0.4405 0.6760 0.3134
Li3 Li 0.4455 0.8973 0.9780
Cr1 Cr 0.0253 0.2388 0.2256
P1 P 0.0417 0.2356 0.8367
C1 C 0.4755 0.7241 0.6201
O1 O 0.0100 0.9290 0.2667
O2 O 0.0762 0.5520 0.2632
O3 O 0.1110 0.7582 0.0120
O4 O 0.2295 0.7432 0.5750
O5 O 0.3376 0.1985 0.8728
O6 O 0.3521 0.1962 0.4849
O7 O 0.4591 0.2365 0.2323
```


Record 3
Li3CrPCO7: calculated powder diffraction line list (copper Kα), based on a cell relaxed with PBE+U.
Kinematic intensities with the Lorentz-polarization factor, no thermal factor.

Top 10 peaks for 2θ from 10° to 80°, by angle:
(0 0 1), d 8.612, 2θ 10.27, rel. 84; (1 0 -1), d 4.558, 2θ 19.48, rel. 39; (1 0 1), d 4.212, 2θ 21.09, rel. 33; (1 1 1), d 3.533, 2θ 25.21, rel. 18; (1 0 -2), d 3.441, 2θ 25.89, rel. 56; (0 2 0), d 3.246, 2θ 27.48, rel. 100; (0 0 3), d 2.871, 2θ 31.15, rel. 20; (2 0 0), d 2.539, 2θ 35.35, rel. 41; (2 0 -1), d 2.497, 2θ 35.96, rel. 20; (0 1 4), d 2.044, 2θ 44.32, rel. 18

Atomic structure:
```
data_Li3CrPCO7
_space_group_name_H-M_alt 'P 1 21/m 1'
_space_group_IT_number 11
_space_group_name_Hall '-P 2yb'
_cell_length_a 5.0994
_cell_length_b 6.4916
_cell_length_c 8.6475
_cell_angle_alpha 90.00
_cell_angle_beta 95.17
_cell_angle_gamma 90.00
loop_
_atom_site_label
_atom_site_type_symbol
_atom_site_fract_x
_atom_site_fract_y
_atom_site_fract_z
Li1 Li 0.1510 0.2500 0.0833
Li2 Li 0.2309 0.5267 0.7108
Cr1 Cr 0.2403 0.7500 0.3310
P1 P 0.3014 0.2500 0.4181
C1 C 0.3420 0.7500 0.0122
O1 O 0.1388 0.7500 0.0958
O2 O 0.1954 0.0628 0.3189
O3 O 0.2110 0.2500 0.5844
O4 O 0.2862 0.7500 0.8628
O5 O 0.3897 0.7500 0.5644
O6 O 0.4206 0.2500 0.9249
```